Structure and calculated powder diffraction line list of Eu2AgSb (a cell relaxed with PBE; Cu Kα (weighted mean of Kα1 and Kα2)).
Intensities are scaled so that the largest is 100.

Principal peaks in the range 2θ = 15–90°, by angle:
| 2theta | I_rel | (hkl) |
| --- | --- | --- |
| 22.91 | 2 | 2 0 0 |
| 32.62 | 100 | 2 2 0 |
| 40.23 | 1 | 2 2 2 |
| 46.80 | 18 | 4 0 0 |
| 52.72 | 1 | 4 2 0 |
| 58.21 | 37 | 4 2 2 |
| 68.34 | 11 | 4 4 0 |
| 73.13 | 1 | 6 0 0 |
| 77.80 | 16 | 6 2 0 |
| 86.93 | 4 | 4 4 4 |

Structural model:
a b c (Å): 7.764 7.764 7.764
angles (deg): 90.00 90.00 90.00
Fractional positions:
Eu1 0.250 0.250 0.250
Eu2 0.250 0.250 0.750
Eu3 0.250 0.750 0.250
Eu4 0.250 0.750 0.750
Eu5 0.750 0.250 0.250
Eu6 0.750 0.250 0.750
Eu7 0.750 0.750 0.250
Eu8 0.750 0.750 0.750
Ag1 0.000 0.000 0.000
Ag2 0.000 0.500 0.500
Ag3 0.500 0.000 0.500
Ag4 0.500 0.500 0.000
Sb1 0.000 0.000 0.500
Sb2 0.000 0.500 0.000
Sb3 0.500 0.000 0.000
Sb4 0.500 0.500 0.500

---

Structure and calculated powder diffraction line list of EuAgSb (a cell relaxed with PBE; Cu Kα (weighted mean of Kα1 and Kα2)).
Intensities are scaled so that the largest is 100.

Principal peaks in the range 2θ = 15–90°, by angle:
| 2theta | I_rel | (hkl) |
| --- | --- | --- |
| 30.46 | 100 | 1 0 2 |
| 37.46 | 59 | 1 1 0 |
| 43.69 | 13 | 0 0 4 |
| 49.02 | 26 | 2 0 2 |
| 58.88 | 31 | 1 1 4 |
| 63.28 | 24 | 2 1 2 |
| 67.58 | 10 | 3 0 0 |
| 72.05 | 8 | 1 0 6 |
| 84.01 | 11 | 3 0 4 |
| 87.87 | 10 | 3 1 2 |

Structural model:
a b c (Å): 4.802 4.802 8.287
angles (deg): 90.00 90.00 120.00
Fractional positions:
Eu1 0.000 0.000 0.000
Eu2 0.000 0.000 0.500
Ag1 0.333 0.667 0.250
Ag2 0.667 0.333 0.750
Sb1 0.333 0.667 0.750
Sb2 0.667 0.333 0.250